Structure and calculated powder XRD pattern of Pm2Ga4RhAu3 (a cell relaxed with PBE; a wavelength of 1.5418 Å).
No peak broadening, texture or thermal motion is included.

Largest 8 diffraction maxima, by angle, 10 to 90 degrees two-theta:
2θ/deg, I/Imax, index
32.4, 58, 1 0 3
33.8, 100, 1 1 2
42.0, 68, 2 0 0
44.8, 31, 1 1 4
47.0, 36, 1 0 5
54.0, 27, 2 1 3
64.8, 28, 2 1 5
71.4, 23, 3 1 2

Cell and atoms:
Unit cell a=4.307 b=4.307 c=10.820 alpha=90.00 beta=90.00 gamma=90.00
Fractional positions:
Pm 0.000 0.500 0.245
Pm 0.500 0.000 0.755
Ga 0.000 0.000 0.500
Ga 0.000 0.500 0.873
Ga 0.500 0.000 0.127
Ga 0.500 0.500 0.500
Rh 0.500 0.500 0.000
Au 0.000 0.000 0.000
Au 0.000 0.500 0.640
Au 0.500 0.000 0.360